No. 1
Structure and simulated PXRD pattern of Li3AcTl4 (the PBE geometry in Alexandria; Cu Kα (λ = 1.5418 Å)).
Peak positions follow from Bragg's law for the DFT cell and can differ from measured ones.

Atomic structure:
a b c (Å): 4.9006 4.9006 29.0932
angles (deg): 90.00 90.00 120.00
Space group R-3m (No. 166, hexagonal axes)
Unique sites:
Li 0.0000 0.0000 0.0000 x3
Li 0.0000 0.0000 0.2665 x6
Ac 0.0000 0.0000 0.5000 x3
Tl 0.0000 0.0000 0.1011 x6
Tl 0.0000 0.0000 0.3728 x6

Most intense lines, 5 to 70 degrees two-theta, sorted by position:
- hkl 0 1 2, 21.81 deg, I 36
- hkl 1 0 4, 24.28 deg, I 65
- hkl 0 1 5, 25.99 deg, I 29
- hkl 1 0 7, 30.09 deg, I 61
- hkl 0 1 8, 32.42 deg, I 78
- hkl 1 1 0, 36.68 deg, I 100
- hkl 1 0 10, 37.48 deg, I 28
- hkl 2 0 8, 49.75 deg, I 24
- hkl 1 1 15, 60.92 deg, I 39
- hkl 1 2 8, 63.37 deg, I 23


No. 2
Structure and simulated PXRD pattern of Ba3Zn3In2 (the PBE geometry in Alexandria; Cu Kα (λ = 1.5418 Å)).
Peak positions follow from Bragg's law for the DFT cell and can differ from measured ones.

Atomic structure:
a b c (Å): 5.105 11.961 16.674
angles (deg): 90.00 90.00 90.00
Space group Cmcm (No. 63)
Unique sites:
Ba 0.000 0.090 0.250 x4
Ba 0.000 0.397 0.103 x8
Zn 0.000 0.108 0.034 x8
Zn 0.000 0.208 0.750 x4
In 0.000 0.302 0.596 x8

Most intense lines, 5 to 70 degrees two-theta, sorted by position:
- hkl 1 1 4, 28.64 deg, I 100
- hkl 1 3 1, 28.91 deg, I 94
- hkl 0 0 6, 32.21 deg, I 30
- hkl 1 3 3, 32.74 deg, I 23
- hkl 0 4 3, 34.05 deg, I 37
- hkl 2 0 0, 35.16 deg, I 54
- hkl 1 3 4, 35.79 deg, I 33
- hkl 1 3 7, 47.92 deg, I 21
- hkl 2 0 6, 48.45 deg, I 29
- hkl 2 4 3, 49.75 deg, I 25


No. 3
Structure and simulated PXRD pattern of NaAlSbO5 (the PBE geometry in Alexandria; Cu Kα (λ = 1.5418 Å)).
Peak positions follow from Bragg's law for the DFT cell and can differ from measured ones.

Atomic structure:
a b c (Å): 6.946 9.060 7.526
angles (deg): 90.00 116.14 90.00
Space group C2/c (No. 15)
Unique sites:
Na 0.000 0.170 0.250 x4
Al 0.000 0.190 0.750 x4
Sb 0.000 0.500 0.000 x4
O 0.000 0.424 0.250 x4
O 0.092 0.299 0.607 x8
O 0.196 0.060 0.901 x8

Most intense lines, 5 to 70 degrees two-theta, sorted by position:
- hkl 1 1 0, 17.26 deg, I 100
- hkl 0 2 0, 19.60 deg, I 26
- hkl 1 1 -2, 25.77 deg, I 78
- hkl 2 0 0, 28.63 deg, I 36
- hkl 1 3 0, 32.96 deg, I 33
- hkl 0 2 2, 33.08 deg, I 34
- hkl 3 1 -2, 40.94 deg, I 15
- hkl 3 1 0, 44.73 deg, I 12
- hkl 2 2 2, 51.96 deg, I 13
- hkl 3 3 0, 53.52 deg, I 13


No. 4
Structure and simulated PXRD pattern of Sr2Al4Ge3Pd (the PBE geometry in Alexandria; Cu Kα (λ = 1.5418 Å)).
Peak positions follow from Bragg's law for the DFT cell and can differ from measured ones.

Atomic structure:
a b c (Å): 4.518 4.518 10.501
angles (deg): 90.00 90.00 90.00
Space group P-4m2 (No. 115)
Unique sites:
Sr 0.000 0.500 0.241 x2
Al 0.000 0.000 0.500 x1
Al 0.000 0.500 0.882 x2
Al 0.500 0.500 0.500 x1
Ge 0.000 0.000 0.000 x1
Ge 0.000 0.500 0.631 x2
Pd 0.500 0.500 0.000 x1

Most intense lines, 5 to 70 degrees two-theta, sorted by position:
- hkl 0 0 1, 8.42 deg, I 19
- hkl 1 1 1, 29.22 deg, I 25
- hkl 1 0 3, 32.35 deg, I 57
- hkl 1 1 2, 32.82 deg, I 100
- hkl 2 0 0, 39.91 deg, I 63
- hkl 1 0 5, 47.76 deg, I 21
- hkl 2 1 3, 52.28 deg, I 29
- hkl 2 2 0, 57.71 deg, I 21
- hkl 2 1 5, 63.94 deg, I 17
- hkl 3 1 2, 68.00 deg, I 23